No. 1
Structure and simulated powder diffractogram of Ba6AgHg2 (a GGA-PBE-relaxed structure; Cu Kα (λ = 1.5418 Å)).
Neutral-atom scattering factors, no anomalous dispersion.

Structural model:
```
data_Ba6AgHg2
_cell_length_a 15.1763
_cell_length_b 5.9920
_cell_length_c 11.7514
_cell_angle_alpha 90.00
_cell_angle_beta 130.14
_cell_angle_gamma 90.00
_space_group_name_H-M_alt 'C 1 2/m 1'
_space_group_IT_number 12
_space_group_name_Hall '-C 2y'
loop_
_atom_site_label
_atom_site_type_symbol
_atom_site_fract_x
_atom_site_fract_y
_atom_site_fract_z
_atom_site_occupancy
Ba1 Ba 0.0350 0.0000 0.3312 1
Ba2 Ba 0.1291 0.5000 0.9997 1
Ba3 Ba 0.2040 0.5000 0.6694 1
Ag1 Ag 0.0000 0.0000 0.0000 1
Hg1 Hg 0.1687 0.5000 0.3374 1
```

Most intense lines, 2θ = 10–80°, sorted by position:
2θ/deg  I (rel.)
11.66  29
27.46  100
29.83  54
32.13  11
36.41  36
42.69  20
51.51  35
57.33  19
57.51  16
66.13  11


No. 2
Structure and simulated powder diffractogram of BaAgHg14 (a GGA-PBE-relaxed structure; Cu Kα (λ = 1.5418 Å)).
Neutral-atom scattering factors, no anomalous dispersion.

Structural model:
```
data_BaAgHg14
_cell_length_a 10.0227
_cell_length_b 10.2343
_cell_length_c 10.2771
_cell_angle_alpha 70.99
_cell_angle_beta 71.09
_cell_angle_gamma 66.55
_space_group_name_H-M_alt 'P -1'
_space_group_IT_number 2
_space_group_name_Hall '-P 1'
loop_
_atom_site_label
_atom_site_type_symbol
_atom_site_fract_x
_atom_site_fract_y
_atom_site_fract_z
_atom_site_occupancy
Ba1 Ba 0.2148 0.2149 0.3803 1
Ag1 Ag 0.0000 0.0000 0.0000 1
Ag2 Ag 0.5000 0.5000 0.5000 1
Hg1 Hg 0.0002 0.0013 0.3402 1
Hg2 Hg 0.0334 0.5189 0.1295 1
Hg3 Hg 0.1103 0.5917 0.3802 1
Hg4 Hg 0.1482 0.1690 0.7538 1
Hg5 Hg 0.1686 0.6563 0.6279 1
Hg6 Hg 0.1748 0.1682 0.0607 1
Hg7 Hg 0.2015 0.7282 0.8882 1
Hg8 Hg 0.2765 0.7953 0.1226 1
Hg9 Hg 0.3411 0.3383 0.7537 1
Hg10 Hg 0.3457 0.8359 0.3822 1
Hg11 Hg 0.3863 0.3856 0.0215 1
Hg12 Hg 0.3946 0.9075 0.6312 1
Hg13 Hg 0.4533 0.4361 0.2701 1
Hg14 Hg 0.4802 0.9668 0.8720 1
```

Most intense lines, 2θ = 10–80°, sorted by position:
2θ/deg  I (rel.)
28.65  31
32.06  69
32.22  100
32.42  15
32.58  68
32.72  54
33.19  31
39.66  18
41.46  54
42.74  15


No. 3
Structure and simulated powder diffractogram of BaAg2Hg6 (a GGA-PBE-relaxed structure; Cu Kα (λ = 1.5418 Å)).
Neutral-atom scattering factors, no anomalous dispersion.

Structural model:
```
data_BaAg2Hg6
_cell_length_a 6.5850
_cell_length_b 6.5850
_cell_length_c 7.4042
_cell_angle_alpha 90.00
_cell_angle_beta 90.00
_cell_angle_gamma 120.00
_space_group_name_H-M_alt 'P 6/m m m'
_space_group_IT_number 191
_space_group_name_Hall '-P 6 2'
loop_
_atom_site_label
_atom_site_type_symbol
_atom_site_fract_x
_atom_site_fract_y
_atom_site_fract_z
_atom_site_occupancy
Ba1 Ba 0.0000 0.0000 0.0000 1
Ag1 Ag 0.3333 0.6667 0.5000 1
Hg1 Hg 0.0000 0.5000 0.2041 1
```

Most intense lines, 2θ = 10–80°, sorted by position:
2θ/deg  I (rel.)
15.54  51
28.75  21
31.37  100
33.68  38
36.52  43
39.80  21
39.91  69
48.83  29
55.85  32
71.83  26


No. 4
Structure and simulated powder diffractogram of BaAg3Hg2 (a GGA-PBE-relaxed structure; Cu Kα (λ = 1.5418 Å)).
Neutral-atom scattering factors, no anomalous dispersion.

Structural model:
```
data_BaAg3Hg2
_cell_length_a 6.0589
_cell_length_b 6.0589
_cell_length_c 4.7522
_cell_angle_alpha 90.00
_cell_angle_beta 90.00
_cell_angle_gamma 120.00
_space_group_name_H-M_alt 'P 6/m m m'
_space_group_IT_number 191
_space_group_name_Hall '-P 6 2'
loop_
_atom_site_label
_atom_site_type_symbol
_atom_site_fract_x
_atom_site_fract_y
_atom_site_fract_z
_atom_site_occupancy
Ba1 Ba 0.0000 0.0000 0.0000 1
Ag1 Ag 0.0000 0.5000 0.5000 1
Hg1 Hg 0.3333 0.6667 0.0000 1
```

Most intense lines, 2θ = 10–80°, sorted by position:
2θ/deg  I (rel.)
16.90  23
29.48  33
35.13  100
37.86  25
39.22  29
48.70  17
56.03  26
61.19  18
66.62  16
74.25  20


No. 5
Structure and simulated powder diffractogram of BaAg3Hg (a GGA-PBE-relaxed structure; Cu Kα (λ = 1.5418 Å)).
Neutral-atom scattering factors, no anomalous dispersion.

Structural model:
```
data_BaAg3Hg
_cell_length_a 5.5801
_cell_length_b 10.0560
_cell_length_c 10.0110
_cell_angle_alpha 90.00
_cell_angle_beta 90.00
_cell_angle_gamma 90.00
_space_group_name_H-M_alt 'I m m a'
_space_group_IT_number 74
_space_group_name_Hall '-I 2b 2'
loop_
_atom_site_label
_atom_site_type_symbol
_atom_site_fract_x
_atom_site_fract_y
_atom_site_fract_z
_atom_site_occupancy
Ba1 Ba 0.0000 0.2500 0.0413 1
Ag1 Ag 0.0000 0.2500 0.6805 1
Ag2 Ag 0.2500 0.0091 0.7500 1
Hg1 Hg 0.0000 0.0000 0.5000 1
```

Most intense lines, 2θ = 10–80°, sorted by position:
2θ/deg  I (rel.)
12.48  17
17.64  19
25.46  100
35.72  46
35.88  23
36.09  75
36.87  55
40.25  21
41.16  41
52.28  30


No. 6
Structure and simulated powder diffractogram of Ba7Ag2Hg2 (a GGA-PBE-relaxed structure; Cu Kα (λ = 1.5418 Å)).
Neutral-atom scattering factors, no anomalous dispersion.

Structural model:
```
data_Ba7Ag2Hg2
_cell_length_a 4.6226
_cell_length_b 18.7160
_cell_length_c 11.4654
_cell_angle_alpha 90.00
_cell_angle_beta 90.00
_cell_angle_gamma 90.00
_space_group_name_H-M_alt 'I m m 2'
_space_group_IT_number 44
_space_group_name_Hall 'I 2 -2'
loop_
_atom_site_label
_atom_site_type_symbol
_atom_site_fract_x
_atom_site_fract_y
_atom_site_fract_z
_atom_site_occupancy
Ba1 Ba 0.0000 0.0000 0.0000 1
Ba2 Ba 0.0000 0.1137 0.6092 1
Ba3 Ba 0.0000 0.3095 0.4018 1
Ba4 Ba 0.0000 0.3699 0.7658 1
Ag1 Ag 0.0000 0.2406 0.1119 1
Hg1 Hg 0.0000 0.0000 0.3549 1
Hg2 Hg 0.0000 0.5000 0.2692 1
```

Most intense lines, 2θ = 10–80°, sorted by position:
2θ/deg  I (rel.)
25.02  19
25.20  35
27.37  37
28.23  100
28.64  41
31.85  39
32.68  29
38.97  26
42.14  21
58.38  18


No. 7
Structure and simulated powder diffractogram of BaAgHg (a GGA-PBE-relaxed structure; Cu Kα (λ = 1.5418 Å)).
Neutral-atom scattering factors, no anomalous dispersion.

Structural model:
```
data_BaAgHg
_cell_length_a 4.6753
_cell_length_b 4.6753
_cell_length_c 18.0769
_cell_angle_alpha 90.00
_cell_angle_beta 90.00
_cell_angle_gamma 90.00
_space_group_name_H-M_alt 'I -4 m 2'
_space_group_IT_number 119
_space_group_name_Hall 'I -4 -2'
loop_
_atom_site_label
_atom_site_type_symbol
_atom_site_fract_x
_atom_site_fract_y
_atom_site_fract_z
_atom_site_occupancy
Ba1 Ba 0.0000 0.0000 0.0000 1
Ba2 Ba 0.0000 0.5000 0.2500 1
Ag1 Ag 0.0000 0.0000 0.4225 1
Hg1 Hg 0.0000 0.5000 0.6647 1
```

Most intense lines, 2θ = 10–80°, sorted by position:
2θ/deg  I (rel.)
19.61  36
28.75  100
31.28  79
38.51  54
39.88  42
50.42  42
55.60  18
56.64  30
63.79  21
75.00  16


No. 8
Structure and simulated powder diffractogram of BaMg2AgHg5 (a GGA-PBE-relaxed structure; Cu Kα (λ = 1.5418 Å)).
Neutral-atom scattering factors, no anomalous dispersion.

Structural model:
```
data_BaMg2AgHg5
_cell_length_a 5.2855
_cell_length_b 6.7139
_cell_length_c 14.6613
_cell_angle_alpha 90.00
_cell_angle_beta 90.00
_cell_angle_gamma 90.00
_space_group_name_H-M_alt 'I m m m'
_space_group_IT_number 71
_space_group_name_Hall '-I 2 2'
loop_
_atom_site_label
_atom_site_type_symbol
_atom_site_fract_x
_atom_site_fract_y
_atom_site_fract_z
_atom_site_occupancy
Ba1 Ba 0.0000 0.0000 0.0000 1
Mg1 Mg 0.0000 0.5000 0.1875 1
Ag1 Ag 0.0000 0.0000 0.5000 1
Hg1 Hg 0.0000 0.2508 0.3391 1
Hg2 Hg 0.0000 0.5000 0.0000 1
```

Most intense lines, 2θ = 10–80°, sorted by position:
2θ/deg  I (rel.)
24.81  100
29.26  41
32.17  50
33.92  41
36.29  36
36.66  31
36.78  31
45.39  26
50.52  28
50.90  25


No. 9
Structure and simulated powder diffractogram of BaAgHg2Pt (a GGA-PBE-relaxed structure; Cu Kα (λ = 1.5418 Å)).
Neutral-atom scattering factors, no anomalous dispersion.

Structural model:
```
data_BaAgHg2Pt
_cell_length_a 4.4221
_cell_length_b 4.4849
_cell_length_c 13.2071
_cell_angle_alpha 90.00
_cell_angle_beta 90.00
_cell_angle_gamma 90.00
_space_group_name_H-M_alt 'I m m 2'
_space_group_IT_number 44
_space_group_name_Hall 'I 2 -2'
loop_
_atom_site_label
_atom_site_type_symbol
_atom_site_fract_x
_atom_site_fract_y
_atom_site_fract_z
_atom_site_occupancy
Ba1 Ba 0.0000 0.0000 0.0000 1
Ag1 Ag 0.0000 0.5000 0.7203 1
Hg1 Hg 0.0000 0.0000 0.3718 1
Hg2 Hg 0.0000 0.5000 0.2190 1
Pt1 Pt 0.0000 0.0000 0.5813 1
```

Most intense lines, 2θ = 10–80°, sorted by position:
2θ/deg  I (rel.)
20.92  17
21.19  19
28.39  34
31.48  100
39.56  78
39.75  27
40.22  31
40.81  30
57.83  18
58.64  21


No. 10
Structure and simulated powder diffractogram of Ba2AgHg4Sb2 (a GGA-PBE-relaxed structure; Cu Kα (λ = 1.5418 Å)).
Neutral-atom scattering factors, no anomalous dispersion.

Structural model:
```
data_Ba2AgHg4Sb2
_cell_length_a 7.1546
_cell_length_b 7.1546
_cell_length_c 10.7159
_cell_angle_alpha 90.00
_cell_angle_beta 90.00
_cell_angle_gamma 90.00
_space_group_name_H-M_alt 'I 4/m m m'
_space_group_IT_number 139
_space_group_name_Hall '-I 4 2'
loop_
_atom_site_label
_atom_site_type_symbol
_atom_site_fract_x
_atom_site_fract_y
_atom_site_fract_z
_atom_site_occupancy
Ba1 Ba 0.0000 0.5000 0.2500 1
Ag1 Ag 0.0000 0.0000 0.0000 1
Hg1 Hg 0.2191 0.2191 0.5000 1
Sb1 Sb 0.0000 0.0000 0.2717 1
```

Most intense lines, 2θ = 10–80°, sorted by position:
2θ/deg  I (rel.)
16.55  13
30.04  100
33.45  29
35.49  43
38.68  11
49.56  32
51.07  14
57.69  14
60.38  18
62.43  13


No. 11
Structure and simulated powder diffractogram of BaAgSnHg2 (a GGA-PBE-relaxed structure; Cu Kα (λ = 1.5418 Å)).
Neutral-atom scattering factors, no anomalous dispersion.

Structural model:
```
data_BaAgSnHg2
_cell_length_a 5.0204
_cell_length_b 5.0539
_cell_length_c 11.4836
_cell_angle_alpha 90.00
_cell_angle_beta 90.00
_cell_angle_gamma 90.00
_space_group_name_H-M_alt 'I m m 2'
_space_group_IT_number 44
_space_group_name_Hall 'I 2 -2'
loop_
_atom_site_label
_atom_site_type_symbol
_atom_site_fract_x
_atom_site_fract_y
_atom_site_fract_z
_atom_site_occupancy
Ba1 Ba 0.0000 0.0000 0.0000 1
Ag1 Ag 0.0000 0.0000 0.3650 1
Sn1 Sn 0.0000 0.5000 0.7515 1
Hg1 Hg 0.0000 0.0000 0.6066 1
Hg2 Hg 0.0000 0.5000 0.2511 1
```

Most intense lines, 2θ = 10–80°, sorted by position:
2θ/deg  I (rel.)
15.43  14
29.31  49
29.51  100
35.53  37
35.77  37
40.35  43
43.29  22
46.72  16
51.30  26
60.44  17


No. 12
Structure and simulated powder diffractogram of BaSrAgHg (a GGA-PBE-relaxed structure; Cu Kα (λ = 1.5418 Å)).
Neutral-atom scattering factors, no anomalous dispersion.

Structural model:
```
data_BaSrAgHg
_cell_length_a 5.0207
_cell_length_b 4.5701
_cell_length_c 12.5094
_cell_angle_alpha 90.00
_cell_angle_beta 90.00
_cell_angle_gamma 90.00
_space_group_name_H-M_alt 'A m m 2'
_space_group_IT_number 38
_space_group_name_Hall 'A 2 -2'
loop_
_atom_site_label
_atom_site_type_symbol
_atom_site_fract_x
_atom_site_fract_y
_atom_site_fract_z
_atom_site_occupancy
Ba1 Ba 0.0000 0.0000 0.0000 1
Sr1 Sr 0.5000 0.0000 0.7207 1
Ag1 Ag 0.5000 0.0000 0.4284 1
Hg1 Hg 0.0000 0.0000 0.2833 1
```

Most intense lines, 2θ = 10–80°, sorted by position:
2θ/deg  I (rel.)
14.16  26
20.69  25
27.33  100
28.99  32
33.77  45
34.15  99
35.77  36
39.43  27
52.87  25
63.20  25


No. 13
Structure and simulated powder diffractogram of Ba2Zn3Ag4Hg (a GGA-PBE-relaxed structure; Cu Kα (λ = 1.5418 Å)).
Neutral-atom scattering factors, no anomalous dispersion.

Structural model:
```
data_Ba2Zn3Ag4Hg
_cell_length_a 4.8073
_cell_length_b 4.8073
_cell_length_c 10.8404
_cell_angle_alpha 90.00
_cell_angle_beta 90.00
_cell_angle_gamma 90.00
_space_group_name_H-M_alt 'P -4 m 2'
_space_group_IT_number 115
_space_group_name_Hall 'P -4 -2'
loop_
_atom_site_label
_atom_site_type_symbol
_atom_site_fract_x
_atom_site_fract_y
_atom_site_fract_z
_atom_site_occupancy
Ba1 Ba 0.0000 0.5000 0.2452 1
Zn1 Zn 0.0000 0.5000 0.8867 1
Zn2 Zn 0.5000 0.5000 0.5000 1
Ag1 Ag 0.0000 0.0000 0.0000 1
Ag2 Ag 0.0000 0.5000 0.6424 1
Ag3 Ag 0.5000 0.5000 0.0000 1
Hg1 Hg 0.0000 0.0000 0.5000 1
```

Most intense lines, 2θ = 10–80°, sorted by position:
2θ/deg  I (rel.)
31.03  100
37.41  44
42.67  16
45.92  12
49.32  15
53.95  15
57.79  9
60.66  10
63.55  21
71.11  6


No. 14
Structure and simulated powder diffractogram of BaHo2AgTe4 (a GGA-PBE-relaxed structure; Cu Kα (λ = 1.5418 Å)).
Neutral-atom scattering factors, no anomalous dispersion.

Structural model:
```
data_BaHo2AgTe4
_cell_length_a 4.5256
_cell_length_b 14.8522
_cell_length_c 15.4849
_cell_angle_alpha 90.00
_cell_angle_beta 90.00
_cell_angle_gamma 90.00
_space_group_name_H-M_alt 'C m c m'
_space_group_IT_number 63
_space_group_name_Hall '-C 2c 2'
loop_
_atom_site_label
_atom_site_type_symbol
_atom_site_fract_x
_atom_site_fract_y
_atom_site_fract_z
_atom_site_occupancy
Ba1 Ba 0.0000 0.1345 0.2500 1
Ho1 Ho 0.0000 0.3773 0.0634 1
Ag1 Ag 0.0000 0.1478 0.7500 1
Te1 Te 0.0000 0.0000 0.0000 1
Te2 Te 0.0000 0.2663 0.6071 1
Te3 Te 0.0000 0.4583 0.2500 1
```

Most intense lines, 2θ = 10–80°, sorted by position:
2θ/deg  I (rel.)
13.22  16
25.96  31
27.31  44
29.12  100
31.91  22
34.76  18
38.05  19
39.84  34
40.30  30
40.41  21